Starting from a crystal structure in the Materials Project, relaxed with GGA-PBE, the powder diffraction line list of PbS was computed for Cu Kα X-rays.
No peak broadening, texture or thermal motion is included.

Crystal structure
```
data_PbS
_cell_length_a 6.0074
_cell_length_b 6.0255
_cell_length_c 22.4386
_cell_angle_alpha 90.00
_cell_angle_beta 95.45
_cell_angle_gamma 90.00
_space_group_name_H-M_alt 'C 1 2 1'
_space_group_IT_number 5
loop_
_space_group_symop_operation_xyz
'x,y,z'
'-x,y,-z'
'x+1/2,y+1/2,z'
'-x+1/2,y+1/2,-z'
loop_
_atom_site_label
_atom_site_type_symbol
_atom_site_fract_x
_atom_site_fract_y
_atom_site_fract_z
_atom_site_occupancy
Pb1 Pb 0.2281 0.0000 0.4374 1
S1 S 0.2298 0.4834 0.4420 1
```

The 12 most intense peaks (2θ = 10–90°), most intense first:
| Position (°2θ) | I/Imax |
| --- | --- |
| 29.9 | 1000 |
| 28.0 | 796 |
| 24.8 | 573 |
| 25.5 | 563 |
| 42.6 | 557 |
| 23.4 | 526 |
| 11.9 | 505 |
| 27.2 | 475 |
| 22.9 | 473 |
| 32.1 | 413 |
| 29.7 | 387 |
| 29.8 | 380 |

Starting from a crystal structure in the Materials Project, relaxed with GGA-PBE, the powder diffraction line list of PbS was computed for Cu Kα X-rays.
No peak broadening, texture or thermal motion is included.

Crystal structure
```
data_PbS
_cell_length_a 6.0038
_cell_length_b 6.0038
_cell_length_c 11.3121
_cell_angle_alpha 90.00
_cell_angle_beta 95.69
_cell_angle_gamma 90.00
_space_group_name_H-M_alt 'C 1 2/m 1'
_space_group_IT_number 12
loop_
_space_group_symop_operation_xyz
'x,y,z'
'-x,-y,-z'
'-x,y,-z'
'x,-y,z'
'x+1/2,y+1/2,z'
'-x+1/2,-y+1/2,-z'
'-x+1/2,y+1/2,-z'
'x+1/2,-y+1/2,z'
loop_
_atom_site_label
_atom_site_type_symbol
_atom_site_fract_x
_atom_site_fract_y
_atom_site_fract_z
_atom_site_occupancy
Pb1 Pb 0.2262 0.0000 0.3749 1
S1 S 0.2289 0.5000 0.3859 1
```

The 12 most intense peaks (2θ = 10–90°), most intense first:
| Position (°2θ) | I/Imax |
| --- | --- |
| 25.4 | 1000 |
| 23.0 | 853 |
| 27.2 | 837 |
| 31.8 | 701 |
| 29.8 | 682 |
| 30.8 | 634 |
| 29.9 | 617 |
| 44.1 | 571 |
| 23.7 | 564 |
| 21.9 | 519 |
| 30.2 | 517 |
| 42.7 | 470 |

Starting from a crystal structure in the Materials Project, relaxed with GGA-PBE, the powder diffraction line list of PbS was computed for Cu Kα X-rays.
No peak broadening, texture or thermal motion is included.

Crystal structure
```
data_PbS
_cell_length_a 6.0043
_cell_length_b 6.0071
_cell_length_c 32.8262
_cell_angle_alpha 90.00
_cell_angle_beta 90.00
_cell_angle_gamma 90.00
_space_group_name_H-M_alt 'C m c e'
_space_group_IT_number 64
_space_group_name_Hall '-C 2ac 2'
loop_
_atom_site_label
_atom_site_type_symbol
_atom_site_fract_x
_atom_site_fract_y
_atom_site_fract_z
_atom_site_occupancy
Pb1 Pb 0.0000 0.1630 0.2067 1
S1 S 0.0000 0.1611 0.2887 1
```

The 12 most intense peaks (2θ = 10–90°), most intense first:
| Position (°2θ) | I/Imax |
| --- | --- |
| 30.3 | 1000 |
| 10.8 | 912 |
| 23.6 | 791 |
| 26.6 | 742 |
| 21.6 | 575 |
| 29.9 | 555 |
| 42.7 | 482 |
| 29.8 | 460 |
| 49.3 | 417 |
| 27.2 | 380 |
| 44.8 | 316 |
| 32.7 | 315 |

Starting from a crystal structure in the Materials Project, relaxed with GGA-PBE, the powder diffraction line list of PbS was computed for Cu Kα X-rays.
No peak broadening, texture or thermal motion is included.

Crystal structure
```
data_PbS
_cell_length_a 4.0699
_cell_length_b 11.3796
_cell_length_c 11.1472
_cell_angle_alpha 90.00
_cell_angle_beta 90.00
_cell_angle_gamma 90.00
_space_group_name_H-M_alt 'A m m 2'
_space_group_IT_number 38
loop_
_space_group_symop_operation_xyz
'x,y,z'
'-x,-y,z'
'-x,y,z'
'x,-y,z'
'x,y+1/2,z+1/2'
'-x,-y+1/2,z+1/2'
'-x,y+1/2,z+1/2'
'x,-y+1/2,z+1/2'
loop_
_atom_site_label
_atom_site_type_symbol
_atom_site_fract_x
_atom_site_fract_y
_atom_site_fract_z
_atom_site_occupancy
Pb1 Pb 0.0000 0.0000 0.0000 1
Pb2 Pb 0.0000 0.1620 0.6774 1
Pb3 Pb 0.5000 0.0000 0.3137 1
S1 S 0.0000 0.0000 0.4872 1
S2 S 0.5000 0.0000 0.8135 1
S3 S 0.5000 0.1715 0.1226 1
```

The 12 most intense peaks (2θ = 10–90°), most intense first:
| Position (°2θ) | I/Imax |
| --- | --- |
| 31.4 | 1000 |
| 24.6 | 978 |
| 24.8 | 893 |
| 33.3 | 867 |
| 25.2 | 817 |
| 22.3 | 678 |
| 27.1 | 513 |
| 42.0 | 499 |
| 39.2 | 457 |
| 52.7 | 351 |
| 15.9 | 348 |
| 40.6 | 336 |